Record 1
Computed X-ray diffraction stick pattern
Compound: Er2Tm4Th
Radiation: Cu Kα
Structure: DFT lattice parameters and positions (GGA-PBE)

Crystal structure
Cell: 8.596 8.596 8.560 Å, 116.77 116.77 22.83°
Positions (direct):
Er 0.223 0.223 0.150
Er 0.777 0.777 0.850
Tm 0.080 0.080 0.700
Tm 0.368 0.368 0.600
Tm 0.632 0.632 0.400
Tm 0.920 0.920 0.300
Th 0.000 0.000 0.000

Most intense lines, 5° ≤ 2θ ≤ 70°, in order of falling intensity:
2θ 31.11, I 1000
2θ 31.65, I 949
2θ 30.93, I 894
2θ 32.65, I 879
2θ 37.76, I 473
2θ 34.01, I 330
2θ 36.85, I 304
2θ 64.45, I 266
2θ 63.55, I 264
2θ 63.86, I 258
2θ 26.87, I 252
2θ 53.89, I 234



Record 2
Computed X-ray diffraction stick pattern
Compound: Er3Tm6Th2
Radiation: Cu Kα
Structure: DFT lattice parameters and positions (GGA-PBE)

Crystal structure
Cell: 6.040 6.040 11.442 Å, 95.09 95.09 120.04°
Positions (direct):
Er 0.000 0.000 0.000
Er 0.335 0.665 0.000
Er 0.665 0.335 0.000
Tm 0.084 0.417 0.252
Tm 0.249 0.249 0.748
Tm 0.417 0.084 0.252
Tm 0.583 0.916 0.748
Tm 0.751 0.751 0.252
Tm 0.916 0.583 0.748
Th 0.166 0.834 0.500
Th 0.834 0.166 0.500

Most intense lines, 5° ≤ 2θ ≤ 70°, in order of falling intensity:
2θ 31.47, I 1000
2θ 36.59, I 664
2θ 31.79, I 321
2θ 52.49, I 239
2θ 52.92, I 233
2θ 62.65, I 189
2θ 62.49, I 143
2θ 63.07, I 139
2θ 65.68, I 122
2θ 62.74, I 93
2θ 66.42, I 39
2θ 17.16, I 37